Record 1
This entry pairs a crystal structure of GdHo2TmIn2 with its simulated X-ray diffraction stick pattern. Radiation: Cu Kα (λ = 1.5418 Å). Structure: a cell relaxed with PBE.
No peak broadening, texture or thermal motion is included.

Atomic structure:
Cell: 5.3631 5.3631 6.6985 Å, 90.00 90.00 120.00°
Space group P-6m2 (No. 187)
Unique sites:
Gd1 0.0000 0.0000 0.0000 (multiplicity 1)
Ho1 0.6667 0.3333 0.2540 (multiplicity 2)
Tm1 0.3333 0.6667 0.5000 (multiplicity 1)
In1 0.0000 0.0000 0.5000 (multiplicity 1)
In2 0.3333 0.6667 0.0000 (multiplicity 1)

Most intense lines, 10 to 90 degrees two-theta, most intense first:
2θ/deg, Rel. int., h k l
33.42, 100, 1 1 0
32.97, 97, 1 0 2
59.45, 36, 2 1 2
47.65, 35, 2 0 2
65.74, 28, 1 1 4
59.73, 19, 3 0 0
79.76, 15, 3 1 2
85.40, 14, 3 0 4
70.20, 12, 2 2 0
54.82, 8, 0 0 4
43.22, 7, 1 1 2
89.29, 6, 4 0 2



Record 2
This entry pairs a crystal structure of LaTmGe2Au2 with its simulated X-ray diffraction stick pattern. Radiation: Cu Kα (λ = 1.5418 Å). Structure: a cell relaxed with PBE.
No peak broadening, texture or thermal motion is included.

Atomic structure:
Cell: 4.5022 4.5022 7.6066 Å, 90.00 90.00 120.00°
Space group P3m1 (No. 156)
Unique sites:
La1 0.0000 0.0000 0.0000 (multiplicity 1)
Tm1 0.0000 0.0000 0.4944 (multiplicity 1)
Ge1 0.3333 0.6667 0.2209 (multiplicity 1)
Ge2 0.6667 0.3333 0.6981 (multiplicity 1)
Au1 0.3333 0.6667 0.7423 (multiplicity 1)
Au2 0.6667 0.3333 0.3072 (multiplicity 1)

Most intense lines, 10 to 90 degrees two-theta, most intense first:
2θ/deg, Rel. int., h k l
32.90, 100, 0 1 2
40.05, 69, 1 1 0
25.67, 30, 1 0 1
52.77, 26, 2 0 2
68.25, 24, 1 2 2
64.10, 17, 1 1 4
42.53, 15, 1 0 3
72.76, 12, 3 0 0
11.63, 9, 0 0 1
86.46, 8, 2 2 0
53.62, 7, 1 0 4
47.83, 7, 0 0 4



Record 3
This entry pairs a crystal structure of LaTaSn2Pt2 with its simulated X-ray diffraction stick pattern. Radiation: Cu Kα (λ = 1.5418 Å). Structure: a cell relaxed with PBE.
No peak broadening, texture or thermal motion is included.

Atomic structure:
Cell: 4.5741 9.3434 6.6117 Å, 90.00 90.00 90.00°
Space group Pmn2_1 (No. 31)
Unique sites:
La1 0.0000 0.1199 0.0000 (multiplicity 2)
Ta1 0.0000 0.6172 0.0002 (multiplicity 2)
Sn1 0.0000 0.1425 0.5082 (multiplicity 2)
Sn2 0.0000 0.6201 0.4805 (multiplicity 2)
Pt1 0.0000 0.3961 0.7343 (multiplicity 2)
Pt2 0.0000 0.8386 0.7755 (multiplicity 2)

Most intense lines, 10 to 90 degrees two-theta, most intense first:
2θ/deg, Rel. int., h k l
38.74, 100, 1 2 2
23.65, 32, 1 0 1
23.31, 31, 0 2 1
39.40, 26, 2 0 0
38.54, 21, 0 4 0
71.01, 18, 3 2 2
56.30, 15, 2 4 0
45.71, 12, 1 0 3
69.86, 11, 1 6 2
46.28, 10, 2 2 1
83.11, 10, 2 4 4
70.26, 9, 2 0 4



Record 4
This entry pairs a crystal structure of Si2Sb2Os3 with its simulated X-ray diffraction stick pattern. Radiation: Cu Kα (λ = 1.5418 Å). Structure: a cell relaxed with PBE.
No peak broadening, texture or thermal motion is included.

Atomic structure:
Cell: 4.3263 4.3263 21.9009 Å, 90.00 90.00 120.00°
Space group R3m (No. 160, hexagonal axes)
Unique sites:
Si1 0.0000 0.0000 0.0000 (multiplicity 3)
Si2 0.0000 0.0000 0.4947 (multiplicity 3)
Sb1 0.0000 0.0000 0.2399 (multiplicity 3)
Sb2 0.0000 0.0000 0.7521 (multiplicity 3)
Os1 0.0000 0.0000 0.3690 (multiplicity 3)
Os2 0.0000 0.0000 0.6236 (multiplicity 3)
Os3 0.0000 0.0000 0.8738 (multiplicity 3)

Most intense lines, 10 to 90 degrees two-theta, most intense first:
2θ/deg, Rel. int., h k l
40.82, 100, 0 1 8
41.76, 97, 1 1 0
25.12, 35, 0 1 2
75.60, 33, 1 2 8
59.82, 33, 2 0 8
12.12, 29, 0 0 3
28.88, 24, 1 0 4
24.10, 17, 1 0 1
76.24, 17, 3 0 0
73.68, 16, 1 0 16
37.45, 14, 1 0 7
24.39, 11, 0 0 6



Record 5
This entry pairs a crystal structure of HoAl7Au3 with its simulated X-ray diffraction stick pattern. Radiation: Cu Kα (λ = 1.5418 Å). Structure: a cell relaxed with PBE.
No peak broadening, texture or thermal motion is included.

Atomic structure:
Cell: 8.0870 8.0870 21.0795 Å, 90.00 90.00 120.00°
Space group R-3c (No. 167, hexagonal axes)
Unique sites:
Ho1 0.0000 0.0000 0.0000 (multiplicity 6)
Al1 0.0000 0.0000 0.2500 (multiplicity 6)
Al2 0.0102 0.2062 0.1368 (multiplicity 36)
Au1 0.0000 0.3244 0.2500 (multiplicity 18)

Most intense lines, 10 to 90 degrees two-theta, most intense first:
2θ/deg, Rel. int., h k l
25.41, 100, 1 1 3
46.74, 43, 2 2 3
38.57, 38, 3 0 0
33.80, 36, 1 1 6
44.71, 31, 1 1 9
66.63, 18, 3 0 12
62.16, 18, 4 1 3
66.75, 12, 1 4 6
74.07, 11, 4 1 9
52.20, 9, 2 2 6
88.23, 9, 2 5 3
38.04, 9, 2 1 4



Record 6
This entry pairs a crystal structure of PmPrNdNO2 with its simulated X-ray diffraction stick pattern. Radiation: Cu Kα (λ = 1.5418 Å). Structure: a cell relaxed with PBE.
No peak broadening, texture or thermal motion is included.

Atomic structure:
Cell: 3.5686 3.5686 8.7615 Å, 90.00 90.00 120.00°
Space group P3m1 (No. 156)
Unique sites:
Pm1 0.0000 0.0000 0.0000 (multiplicity 1)
Pr1 0.3333 0.6667 0.6624 (multiplicity 1)
Nd1 0.6667 0.3333 0.3240 (multiplicity 1)
N1 0.3333 0.6667 0.1584 (multiplicity 1)
O1 0.0000 0.0000 0.4955 (multiplicity 1)
O2 0.6667 0.3333 0.8324 (multiplicity 1)

Most intense lines, 10 to 90 degrees two-theta, most intense first:
2θ/deg, Rel. int., h k l
30.66, 100, 1 0 1
35.55, 79, 0 1 2
51.15, 54, 1 1 0
60.81, 34, 1 1 3
63.88, 14, 2 0 2
86.16, 12, 1 2 2
86.03, 12, 1 1 6
60.87, 11, 0 2 1
83.49, 10, 2 1 1
83.34, 10, 2 0 5
75.26, 8, 0 2 4
63.73, 4, 0 0 6



Record 7
This entry pairs a crystal structure of SmSiHO4 with its simulated X-ray diffraction stick pattern. Radiation: Cu Kα (λ = 1.5418 Å). Structure: a cell relaxed with PBE.
No peak broadening, texture or thermal motion is included.

Atomic structure:
Cell: 5.4134 6.4299 11.1372 Å, 90.00 115.49 90.00°
Space group P2_1/c (No. 14)
Unique sites:
Sm1 0.0770 0.1070 0.3531 (multiplicity 4)
Si1 0.4113 0.1580 0.6606 (multiplicity 4)
H1 0.3600 0.0058 0.0737 (multiplicity 4)
O1 0.2581 0.6527 0.7662 (multiplicity 4)
O2 0.2656 0.1528 0.7611 (multiplicity 4)
O3 0.2873 0.5417 0.0618 (multiplicity 4)
O4 0.2928 0.1477 0.0482 (multiplicity 4)

Most intense lines, 10 to 90 degrees two-theta, most intense first:
2θ/deg, Rel. int., h k l
16.36, 100, 0 1 1
32.40, 56, 1 2 -1
30.07, 51, 0 1 3
23.64, 49, 1 1 -2
18.15, 48, 1 0 0
33.16, 37, 2 0 -2
28.59, 34, 1 1 -3
27.27, 33, 1 1 1
33.62, 29, 1 1 2
22.86, 28, 1 1 0
44.29, 25, 2 2 -1
22.45, 25, 0 1 2



Record 8
This entry pairs a crystal structure of La2NdGe4Ir2Pd2 with its simulated X-ray diffraction stick pattern. Radiation: Cu Kα (λ = 1.5418 Å). Structure: a cell relaxed with PBE.
No peak broadening, texture or thermal motion is included.

Atomic structure:
Cell: 4.2105 4.3134 25.4530 Å, 90.00 90.00 90.00°
Space group Immm (No. 71)
Unique sites:
La1 0.0000 0.0000 0.1432 (multiplicity 4)
Nd1 0.0000 0.5000 0.0000 (multiplicity 2)
Ge1 0.0000 0.0000 0.3052 (multiplicity 4)
Ge2 0.0000 0.5000 0.4510 (multiplicity 4)
Ir1 0.0000 0.0000 0.4024 (multiplicity 4)
Pd1 0.0000 0.5000 0.2492 (multiplicity 4)

Most intense lines, 10 to 90 degrees two-theta, most intense first:
2θ/deg, Rel. int., h k l
32.89, 100, 1 1 4
32.54, 34, 1 0 7
41.89, 26, 0 2 0
42.96, 24, 2 0 0
44.43, 24, 0 1 11
61.56, 17, 2 2 0
63.52, 16, 2 1 11
38.05, 16, 0 1 9
54.02, 16, 1 2 7
58.70, 12, 2 1 9
70.81, 11, 1 3 4
46.72, 11, 1 1 10



Record 9
This entry pairs a crystal structure of Hf4AuN3 with its simulated X-ray diffraction stick pattern. Radiation: Cu Kα (λ = 1.5418 Å). Structure: a cell relaxed with PBE.
No peak broadening, texture or thermal motion is included.

Atomic structure:
Cell: 3.2166 3.2166 24.4901 Å, 90.00 90.00 120.00°
Space group P6_3/mmc (No. 194)
Unique sites:
Hf1 0.0000 0.0000 0.1579 (multiplicity 4)
Hf2 0.3333 0.6667 0.0546 (multiplicity 4)
Au1 0.3333 0.6667 0.2500 (multiplicity 2)
N1 0.0000 0.0000 0.0000 (multiplicity 2)
N2 0.3333 0.6667 0.6064 (multiplicity 4)

Most intense lines, 10 to 90 degrees two-theta, most intense first:
2θ/deg, Rel. int., h k l
39.15, 100, 1 0 6
37.13, 92, 1 0 5
35.40, 55, 1 0 4
57.28, 51, 1 1 0
36.70, 45, 0 0 10
69.98, 43, 1 1 10
32.35, 39, 1 0 1
52.63, 20, 1 0 11
70.16, 20, 1 0 16
71.58, 17, 2 0 6
32.98, 16, 1 0 2
66.37, 14, 1 0 15



Record 10
This entry pairs a crystal structure of Rb2Hg2PdBr2Cl6 with its simulated X-ray diffraction stick pattern. Radiation: Cu Kα (λ = 1.5418 Å). Structure: a cell relaxed with PBE.
No peak broadening, texture or thermal motion is included.

Atomic structure:
Cell: 11.7235 6.9895 10.0512 Å, 90.00 108.96 90.00°
Space group C2/m (No. 12)
Unique sites:
Rb1 0.1067 0.0000 0.3351 (multiplicity 4)
Hg1 0.1350 0.5000 0.8969 (multiplicity 4)
Pd1 0.0000 0.5000 0.5000 (multiplicity 2)
Br1 0.0901 0.5000 0.1988 (multiplicity 4)
Cl1 0.1295 0.2653 0.6329 (multiplicity 8)
Cl2 0.1520 0.0000 0.0013 (multiplicity 4)

Most intense lines, 10 to 90 degrees two-theta, most intense first:
2θ/deg, Rel. int., h k l
29.59, 100, 1 1 -3
14.98, 84, 1 1 0
25.49, 63, 0 2 0
19.00, 54, 1 1 1
53.84, 47, 6 2 -2
26.17, 41, 3 1 -1
27.51, 40, 2 0 -3
32.79, 38, 2 2 -2
32.30, 32, 4 0 0
47.55, 27, 1 3 -3
45.13, 26, 4 2 1
38.55, 23, 2 2 2



Record 11
This entry pairs a crystal structure of AuOF with its simulated X-ray diffraction stick pattern. Radiation: Cu Kα (λ = 1.5418 Å). Structure: a cell relaxed with PBE.
No peak broadening, texture or thermal motion is included.

Atomic structure:
Cell: 4.9012 4.9012 6.6642 Å, 90.00 90.00 90.00°
Space group P4_12_12 (No. 92)
Unique sites:
Au1 0.0437 0.0437 0.0000 (multiplicity 4)
O1 0.1661 0.8339 0.2500 (multiplicity 4)
F1 0.2413 0.2413 0.5000 (multiplicity 4)

Most intense lines, 10 to 90 degrees two-theta, most intense first:
2θ/deg, Rel. int., h k l
32.49, 100, 1 0 2
25.71, 95, 1 1 0
49.79, 50, 2 1 2
36.67, 22, 2 0 0
43.46, 20, 2 1 1
61.78, 17, 1 1 4
61.42, 11, 3 1 1
52.83, 10, 2 2 0
63.41, 9, 3 0 2
55.13, 9, 0 0 4
22.52, 9, 1 0 1
59.66, 8, 3 1 0



Record 12
This entry pairs a crystal structure of Ho2ErFe2CoNi6 with its simulated X-ray diffraction stick pattern. Radiation: Cu Kα (λ = 1.5418 Å). Structure: a cell relaxed with PBE.
No peak broadening, texture or thermal motion is included.

Atomic structure:
Cell: 4.9525 4.9525 24.2084 Å, 90.00 90.00 120.00°
Space group R-3m (No. 166, hexagonal axes)
Unique sites:
Ho1 0.0000 0.0000 0.1393 (multiplicity 6)
Er1 0.0000 0.0000 0.0000 (multiplicity 3)
Fe1 0.0000 0.0000 0.3330 (multiplicity 6)
Co1 0.0000 0.0000 0.5000 (multiplicity 3)
Ni1 0.0018 0.5009 0.0816 (multiplicity 18)

Most intense lines, 10 to 90 degrees two-theta, most intense first:
2θ/deg, Rel. int., h k l
42.85, 100, 1 1 6
36.30, 90, 1 1 0
33.28, 53, 1 0 7
42.31, 39, 0 2 1
69.83, 33, 2 0 14
46.34, 25, 2 0 5
65.29, 24, 3 0 0
77.02, 20, 2 2 0
44.89, 19, 0 0 12
63.37, 16, 2 1 7
21.04, 12, 1 0 1
69.53, 12, 1 1 15